# KDyS2
Simulated XRD peak list, CuKα. Input: DFT lattice parameters and positions (GGA-PBE).
Intensities are scaled so that the largest is 100.

Principal peaks in the range 2θ from 5° to 70°, in order of falling intensity:
hkl 1 0 4, 2θ = 30.16°, I 100
hkl 0 0 3, 2θ = 12.01°, I 79
hkl 0 1 8, 2θ = 41.60°, I 36
hkl 0 1 2, 2θ = 26.64°, I 35
hkl 1 1 0, 2θ = 44.71°, I 34
hkl 1 0 1, 2θ = 25.69°, I 26

Atomic structure:
abc: 4.0540 4.0540 22.0987
angles: 90.00 90.00 120.00
Space group R-3m (No. 166, hexagonal axes)
Inequivalent atoms, fractional coordinates:
K 0.0000 0.0000 0.0000 (multiplicity 3)
Dy 0.0000 0.0000 0.5000 (multiplicity 3)
S 0.0000 0.0000 0.2338 (multiplicity 6)

=====

# La3Dy
Simulated XRD peak list, CuKα. Input: DFT lattice parameters and positions (GGA-PBE).
Intensities are scaled so that the largest is 100.

Principal peaks in the range 2θ from 5° to 70°, in order of falling intensity:
hkl 1 1 2, 2θ = 29.68°, I 100
hkl 2 2 0, 2θ = 49.46°, I 36
hkl 2 0 0, 2θ = 34.44°, I 34
hkl 3 1 2, 2θ = 58.79°, I 29
hkl 0 0 4, 2θ = 34.34°, I 17
hkl 1 1 6, 2θ = 58.66°, I 15

Atomic structure:
abc: 5.208 5.208 10.446
angles: 90.00 90.00 90.00
Space group I4/mmm (No. 139)
Inequivalent atoms, fractional coordinates:
La 0.000 0.000 0.000 (multiplicity 2)
La 0.000 0.500 0.250 (multiplicity 4)
Dy 0.000 0.000 0.500 (multiplicity 2)